# Sm2US5
Calculated XRD peak list, Cu Kα X-rays. Input: a DFT-relaxed cell (GGA-PBE, the Materials Project).
Lines closer than 0.1° are merged.

Most intense lines, 10 to 80 degrees two-theta, most intense first:
- hkl 3 0 1, 2θ = 25.47°, I 100
- hkl 1 2 1, 2θ = 26.38°, I 81
- hkl 2 2 2, 2θ = 36.24°, I 68
- hkl 2 2 0, 2θ = 26.88°, I 66
- hkl 0 0 2, 2θ = 23.85°, I 47
- hkl 5 2 1, 2θ = 46.08°, I 45
- hkl 3 4 1, 2θ = 52.71°, I 40
- hkl 4 2 0, 2θ = 37.74°, I 30

Cell and atoms:
```
Sm2US5
1.0
11.8758 0.0000 0.0000
0.0000 7.9982 0.0000
0.0000 0.0000 7.4611
Sm U S
8 4 20
Cartesian
2.1129 0.0089 0.1581
2.1129 3.9903 0.1581
3.8250 4.0080 3.8886
3.8250 7.9894 3.8886
8.0508 0.0089 3.5725
8.0508 3.9903 3.5725
9.7628 4.0080 7.3030
9.7628 7.9894 7.3030
0.1086 5.9987 4.2703
5.8293 1.9996 0.5398
6.0465 5.9987 6.9213
11.7671 1.9996 3.1908
11.8751 1.9996 0.3310
0.0006 5.9987 7.1301
1.1545 0.3448 4.9306
1.1545 3.6543 4.9306
2.2090 5.9987 2.4497
2.5500 1.9996 2.2509
3.3878 5.9987 5.9814
3.7289 1.9996 6.1803
4.7834 4.3439 1.2001
4.7834 7.6534 1.2001
5.9373 1.9996 3.3995
5.9385 5.9987 4.0616
7.0923 0.3448 6.2610
7.0923 3.6543 6.2610
8.1468 5.9987 1.2808
8.4879 1.9996 1.4797
9.3257 5.9987 5.2102
9.6668 1.9996 5.0114
10.7213 4.3439 2.5304
10.7213 7.6534 2.5304
```